The following is a calculated XRD peak list of NaSnMoH. It was derived from a crystal structure in Alexandria, relaxed with PBE, using Cu Kα, 1.54184 Å.
Kinematic intensities with the Lorentz-polarization factor, no thermal factor.

Peak list (10 most intense, 15° ≤ 2θ ≤ 90°, by angle)
- hkl 2 0 0, 16.31°, rel. 100
- hkl 3 1 0, 31.98°, rel. 43
- hkl 1 1 -1, 36.56°, rel. 57
- hkl 4 0 -1, 39.30°, rel. 24
- hkl 1 1 1, 40.27°, rel. 43
- hkl 0 2 0, 40.95°, rel. 21
- hkl 2 2 0, 44.35°, rel. 16
- hkl 5 1 0, 46.59°, rel. 16
- hkl 3 1 1, 50.05°, rel. 17
- hkl 4 2 -1, 58.05°, rel. 15

Atomic structure:
a b c (Å): 11.2585 4.4080 2.9607
angles (deg): 90.00 105.16 90.00
Space group Cm (No. 8)
Asymmetric unit:
Na  0.0000  0.0000  0.0000 [2 per cell]
Sn  0.2109  0.5000  0.7108 [2 per cell]
Mo  0.2905  0.0000  0.2900 [2 per cell]
H  0.4037  0.0000  0.9027 [2 per cell]

=====

The following is a calculated XRD peak list of Cs2BaTl10. It was derived from a crystal structure in Alexandria, relaxed with PBE, using Cu Kα, 1.54184 Å.
Kinematic intensities with the Lorentz-polarization factor, no thermal factor.

Peak list (10 most intense, 15° ≤ 2θ ≤ 90°, by angle)
- hkl 1 4 1, 26.37°, rel. 58
- hkl 1 2 2, 29.36°, rel. 97
- hkl 0 6 0, 31.77°, rel. 72
- hkl 3 3 0, 31.93°, rel. 100
- hkl 2 5 0, 32.24°, rel. 38
- hkl 0 6 1, 34.39°, rel. 44
- hkl 3 3 1, 34.52°, rel. 68
- hkl 1 4 2, 34.76°, rel. 59
- hkl 0 6 3, 51.23°, rel. 49
- hkl 3 9 0, 56.76°, rel. 37

Atomic structure:
a b c (Å): 9.6968 16.8906 6.9260
angles (deg): 90.00 90.00 90.00
Space group Pbam (No. 55)
Asymmetric unit:
Cs  0.1975  0.0997  0.0000 [4 per cell]
Ba  0.0000  0.5000  0.5000 [2 per cell]
Tl  0.0405  0.1672  0.5000 [4 per cell]
Tl  0.1383  0.6875  0.5000 [4 per cell]
Tl  0.1555  0.9804  0.5000 [4 per cell]
Tl  0.1922  0.3315  0.2403 [8 per cell]

=====

- Number 2 is which compound?
  Cs2BaTl10